1.
Structure and computed XRD peak list of K2Zn3S4 (the GGA-PBE geometry in the Materials Project; Cu Ka).
Neutral-atom scattering factors, no anomalous dispersion.

Most intense lines, 5 to 70 degrees two-theta, low angle first:
h k l, 2θ/deg, d (Å), Rel. int.
0 0 2, 13.20, 6.706, 100
1 2 3, 30.03, 2.976, 84
1 3 2, 31.81, 2.813, 30
2 0 2, 33.77, 2.655, 49
0 4 2, 35.23, 2.547, 33
1 3 4, 39.60, 2.276, 24
2 0 4, 41.23, 2.189, 23
2 4 0, 45.49, 1.994, 44
2 0 6, 51.69, 1.768, 30
0 4 6, 52.74, 1.736, 25

Crystal structure
Unit cell a=5.781 b=11.015 c=13.412 alpha=90.00 beta=90.00 gamma=90.00
Space group Ibam (No. 72)
One atom of each set of equivalent atoms:
K 0.235 0.122 0.000 (multiplicity 8)
Zn 0.000 0.223 0.250 (multiplicity 8)
Zn 0.000 0.500 0.250 (multiplicity 4)
S 0.222 0.367 0.148 (multiplicity 16)

2.
Structure and computed XRD peak list of K2ZrS4 (the GGA-PBE geometry in the Materials Project; Cu Ka).
Neutral-atom scattering factors, no anomalous dispersion.

Most intense lines, 5 to 70 degrees two-theta, low angle first:
h k l, 2θ/deg, d (Å), Rel. int.
0 2 1, 11.91, 7.428, 100
0 4 0, 15.05, 5.888, 40
1 1 1, 16.42, 5.400, 24
1 3 1, 19.59, 4.531, 24
1 5 1, 24.80, 3.591, 34
0 2 3, 28.99, 3.080, 29
2 4 0, 30.33, 2.947, 28
1 2 3, 31.90, 2.806, 24
2 5 0, 32.45, 2.759, 31
1 3 3, 33.04, 2.711, 30

Crystal structure
Unit cell a=6.808 b=23.553 c=9.572 alpha=90.00 beta=90.00 gamma=90.00
Space group Pbca (No. 61)
One atom of each set of equivalent atoms:
K 0.065 0.198 0.069 (multiplicity 8)
K 0.203 0.531 0.358 (multiplicity 8)
Zr 0.053 0.131 0.671 (multiplicity 8)
S 0.071 0.161 0.410 (multiplicity 8)
S 0.111 0.590 0.052 (multiplicity 8)
S 0.136 0.566 0.668 (multiplicity 8)
S 0.211 0.704 0.769 (multiplicity 8)

3.
Structure and computed XRD peak list of K5Sb4 (the GGA-PBE geometry in the Materials Project; Cu Ka).
Neutral-atom scattering factors, no anomalous dispersion.

Most intense lines, 5 to 70 degrees two-theta, low angle first:
h k l, 2θ/deg, d (Å), Rel. int.
2 0 -1, 14.39, 6.154, 24
2 0 0, 15.21, 5.825, 37
1 1 0, 17.75, 4.997, 81
1 1 2, 26.40, 3.376, 44
3 1 -1, 26.73, 3.335, 34
1 1 -3, 28.56, 3.125, 39
3 1 1, 31.72, 2.821, 100
0 2 0, 32.37, 2.766, 45
4 0 1, 34.84, 2.575, 25
3 1 -4, 37.08, 2.425, 21

Crystal structure
Unit cell a=12.538 b=5.532 c=11.393 alpha=90.00 beta=111.70 gamma=90.00
Space group Cm (No. 8)
One atom of each set of equivalent atoms:
K 0.000 0.000 0.000 (multiplicity 2)
K 0.010 0.500 0.332 (multiplicity 2)
K 0.151 0.500 0.775 (multiplicity 2)
K 0.273 0.500 0.178 (multiplicity 2)
K 0.353 0.500 0.559 (multiplicity 2)
Sb 0.147 0.000 0.557 (multiplicity 2)
Sb 0.207 0.000 0.341 (multiplicity 2)
Sb 0.295 0.000 0.990 (multiplicity 2)
Sb 0.357 0.000 0.775 (multiplicity 2)

4.
Structure and computed XRD peak list of KSb3 (the GGA-PBE geometry in the Materials Project; Cu Ka).
Neutral-atom scattering factors, no anomalous dispersion.

Most intense lines, 5 to 70 degrees two-theta, low angle first:
h k l, 2θ/deg, d (Å), Rel. int.
1 0 1, 20.63, 4.305, 27
1 0 2, 26.01, 3.426, 42
1 1 0, 32.36, 2.767, 100
1 0 3, 33.19, 2.699, 64
1 0 4, 41.40, 2.181, 24
2 0 3, 47.04, 1.932, 23
3 0 0, 57.72, 1.597, 18
2 1 3, 58.25, 1.584, 24
2 1 4, 63.92, 1.456, 13
1 1 6, 66.48, 1.406, 19

Crystal structure
Unit cell a=5.5331 b=5.5331 c=9.7989 alpha=90.00 beta=90.00 gamma=120.00
Space group P6_3/mmc (No. 194)
One atom of each set of equivalent atoms:
K 0.3333 0.6667 0.2500 (multiplicity 2)
Sb 0.0000 0.0000 0.2500 (multiplicity 2)
Sb 0.3333 0.6667 0.5986 (multiplicity 4)

5.
Structure and computed XRD peak list of K3Sb (the GGA-PBE geometry in the Materials Project; Cu Ka).
Neutral-atom scattering factors, no anomalous dispersion.

Most intense lines, 5 to 70 degrees two-theta, low angle first:
h k l, 2θ/deg, d (Å), Rel. int.
1 1 1, 17.94, 4.944, 23
2 0 0, 20.75, 4.282, 12
2 2 0, 29.50, 3.028, 100
3 1 1, 34.75, 2.582, 14
4 0 0, 42.21, 2.141, 18
3 3 1, 46.21, 1.965, 6
4 2 0, 47.48, 1.915, 6
4 2 2, 52.34, 1.748, 36
4 4 0, 61.23, 1.514, 11
6 2 0, 69.41, 1.354, 15

Crystal structure
Unit cell a=8.563 b=8.563 c=8.563 alpha=90.00 beta=90.00 gamma=90.00
Space group Fm-3m (No. 225)
One atom of each set of equivalent atoms:
K 0.000 0.000 0.000 (multiplicity 4)
K 0.250 0.250 0.250 (multiplicity 8)
Sb 0.000 0.000 0.500 (multiplicity 4)

6.
Structure and computed XRD peak list of K5Sb4 (the GGA-PBE geometry in the Materials Project; Cu Ka).
Neutral-atom scattering factors, no anomalous dispersion.

Most intense lines, 5 to 70 degrees two-theta, low angle first:
h k l, 2θ/deg, d (Å), Rel. int.
2 0 -1, 14.37, 6.165, 25
2 0 0, 15.16, 5.843, 38
1 1 0, 17.73, 5.003, 82
1 1 2, 26.33, 3.385, 44
3 1 -1, 26.69, 3.340, 35
1 1 -3, 28.51, 3.131, 40
3 1 1, 31.65, 2.827, 100
0 2 0, 32.34, 2.768, 46
4 0 1, 34.71, 2.584, 26
3 1 -4, 37.00, 2.429, 22

Crystal structure
Unit cell a=12.566 b=5.536 c=11.416 alpha=90.00 beta=111.56 gamma=90.00
Space group C2/m (No. 12)
One atom of each set of equivalent atoms:
K 0.000 0.000 0.000 (multiplicity 2)
K 0.100 0.000 0.391 (multiplicity 4)
K 0.245 0.000 0.834 (multiplicity 4)
Sb 0.044 0.500 0.824 (multiplicity 4)
Sb 0.105 0.500 0.608 (multiplicity 4)

7.
Structure and computed XRD peak list of K5Sb4 (the GGA-PBE geometry in the Materials Project; Cu Ka).
Neutral-atom scattering factors, no anomalous dispersion.

Most intense lines, 5 to 70 degrees two-theta, low angle first:
h k l, 2θ/deg, d (Å), Rel. int.
0 1 -1, 16.43, 5.396, 100
1 0 -1, 17.14, 5.174, 55
1 -1 0, 17.75, 4.997, 84
1 0 -2, 25.03, 3.557, 48
1 -1 2, 27.37, 3.259, 65
-1 1 2, 27.84, 3.205, 50
1 -2 1, 29.83, 2.995, 50
1 2 0, 30.79, 2.904, 46
2 1 0, 31.66, 2.826, 55
1 1 3, 37.99, 2.368, 57

Crystal structure
Unit cell a=6.555 b=6.887 c=8.476 alpha=91.53 beta=90.04 gamma=96.19
Space group P-1 (No. 2)
One atom of each set of equivalent atoms:
K 0.000 0.000 0.000 (multiplicity 1)
K 0.265 0.208 0.523 (multiplicity 2)
K 0.291 0.522 0.141 (multiplicity 2)
Sb 0.220 0.679 0.714 (multiplicity 2)
Sb 0.483 0.024 0.166 (multiplicity 2)

8.
Structure and computed XRD peak list of K3Sb (the GGA-PBE geometry in the Materials Project; Cu Ka).
Neutral-atom scattering factors, no anomalous dispersion.

Most intense lines, 5 to 70 degrees two-theta, low angle first:
h k l, 2θ/deg, d (Å), Rel. int.
0 0 2, 16.30, 5.439, 32
1 0 0, 16.71, 5.307, 23
1 0 1, 18.60, 4.769, 47
1 1 0, 29.15, 3.064, 100
1 0 3, 29.84, 2.994, 97
1 1 2, 33.57, 2.669, 32
2 0 3, 42.20, 2.141, 36
3 0 0, 51.67, 1.769, 18
2 1 3, 52.11, 1.755, 37
1 1 6, 59.22, 1.560, 23

Crystal structure
Unit cell a=6.1277 b=6.1277 c=10.8774 alpha=90.00 beta=90.00 gamma=120.00
Space group P6_3/mmc (No. 194)
One atom of each set of equivalent atoms:
K 0.0000 0.0000 0.2500 (multiplicity 2)
K 0.3333 0.6667 0.0809 (multiplicity 4)
Sb 0.3333 0.6667 0.7500 (multiplicity 2)